(1)
Structure and calculated X-ray powder pattern of Pt3CF (DFT lattice parameters and positions (PBE); a wavelength of 1.5418 Å).
Peak positions follow from Bragg's law for the DFT cell and can differ from measured ones.

Structural model:
Unit cell a=4.125 b=4.125 c=4.125 alpha=90.00 beta=90.00 gamma=90.00
Atoms (fractional coordinates):
Pt 0.000 0.000 0.500
Pt 0.000 0.500 0.000
Pt 0.500 0.000 0.000
C 0.000 0.000 0.000
F 0.500 0.500 0.500

The 10 most intense peaks (10° ≤ 2θ ≤ 90°), in order of falling intensity:
d/Å	2θ/deg	intensity
2.382	37.77	1000
2.063	43.89	527
1.244	76.60	390
1.459	63.81	347
4.125	21.54	305
2.917	30.65	195
1.845	49.40	138
1.191	80.68	120
1.684	54.48	86
1.375	68.20	67

(2)
Structure and calculated X-ray powder pattern of RbC3F12 (DFT lattice parameters and positions (PBE); a wavelength of 1.5418 Å).
Peak positions follow from Bragg's law for the DFT cell and can differ from measured ones.

Structural model:
Unit cell a=10.551 b=10.551 c=6.905 alpha=90.00 beta=90.00 gamma=120.00
Atoms (fractional coordinates):
Rb 0.333 0.667 0.250
Rb 0.667 0.333 0.750
C 0.122 0.325 0.750
C 0.203 0.878 0.750
C 0.325 0.203 0.250
C 0.675 0.797 0.750
C 0.797 0.122 0.250
C 0.878 0.675 0.250
F 0.028 0.180 0.750
F 0.046 0.397 0.750
F 0.151 0.972 0.750
F 0.155 0.793 0.590
F 0.155 0.793 0.910
F 0.180 0.151 0.250
F 0.207 0.362 0.590
F 0.207 0.362 0.910
F 0.351 0.954 0.750
F 0.362 0.155 0.090
F 0.362 0.155 0.410
F 0.397 0.351 0.250
F 0.603 0.649 0.750
F 0.638 0.845 0.590
F 0.638 0.845 0.910
F 0.649 0.046 0.250
F 0.793 0.638 0.090
F 0.793 0.638 0.410
F 0.820 0.849 0.750
F 0.845 0.207 0.090
F 0.845 0.207 0.410
F 0.849 0.028 0.250
F 0.954 0.603 0.250
F 0.972 0.820 0.250

The 10 most intense peaks (10° ≤ 2θ ≤ 90°), in order of falling intensity:
d/Å	2θ/deg	intensity
3.810	23.35	1000
4.569	19.43	252
2.284	39.45	159
3.452	25.81	156
4.192	21.19	154
2.638	33.99	147
2.442	36.81	133
3.089	28.90	129
1.675	54.80	91
2.379	37.81	90

(3)
Structure and calculated X-ray powder pattern of RbCF5 (DFT lattice parameters and positions (PBE); a wavelength of 1.5418 Å).
Peak positions follow from Bragg's law for the DFT cell and can differ from measured ones.

Structural model:
Unit cell a=4.581 b=4.581 c=6.622 alpha=90.66 beta=90.66 gamma=64.34
Atoms (fractional coordinates):
Rb 0.000 0.000 0.000
C 0.440 0.440 0.500
F 0.315 0.764 0.501
F 0.340 0.340 0.333
F 0.341 0.341 0.664
F 0.655 0.655 0.000
F 0.764 0.315 0.501

The 10 most intense peaks (10° ≤ 2θ ≤ 90°), in order of falling intensity:
d/Å	2θ/deg	intensity
3.515	25.34	1000
3.492	25.51	973
2.286	39.42	773
3.311	26.93	687
3.877	22.94	603
2.535	35.41	322
2.501	35.91	313
1.966	46.17	305
1.975	45.95	251
1.637	56.21	227

(4)
Structure and calculated X-ray powder pattern of Rb2TaCF6 (DFT lattice parameters and positions (PBE); a wavelength of 1.5418 Å).
Peak positions follow from Bragg's law for the DFT cell and can differ from measured ones.

Structural model:
Unit cell a=6.899 b=6.899 c=6.899 alpha=120.12 beta=120.12 gamma=89.80
Atoms (fractional coordinates):
Rb 0.250 0.750 0.500
Rb 0.750 0.250 0.500
Ta 0.000 0.000 0.000
C 0.500 0.500 0.000
F 0.198 0.198 0.000
F 0.199 0.199 0.397
F 0.199 0.801 0.000
F 0.801 0.199 0.000
F 0.801 0.801 0.603
F 0.802 0.802 0.000

The 10 most intense peaks (10° ≤ 2θ ≤ 90°), in order of falling intensity:
d/Å	2θ/deg	intensity
3.448	25.84	1000
5.630	15.74	778
1.990	45.58	364
2.940	30.40	289
2.435	36.92	231
1.302	72.59	157
1.540	60.07	156
1.725	53.10	136
2.444	36.78	117
1.875	48.56	116

(5)
Structure and calculated X-ray powder pattern of Sc3CSF (DFT lattice parameters and positions (PBE); a wavelength of 1.5418 Å).
Peak positions follow from Bragg's law for the DFT cell and can differ from measured ones.

Structural model:
Unit cell a=7.081 b=3.447 c=7.883 alpha=90.00 beta=97.88 gamma=90.00
Atoms (fractional coordinates):
Sc 0.080 0.250 0.358
Sc 0.202 0.250 0.935
Sc 0.364 0.750 0.644
Sc 0.636 0.250 0.356
Sc 0.798 0.750 0.065
Sc 0.920 0.750 0.642
C 0.148 0.250 0.654
C 0.852 0.750 0.346
S 0.349 0.750 0.310
S 0.651 0.250 0.690
F 0.374 0.750 0.925
F 0.626 0.250 0.075

The 10 most intense peaks (10° ≤ 2θ ≤ 90°), in order of falling intensity:
d/Å	2θ/deg	intensity
2.459	36.55	1000
2.603	34.46	404
1.707	53.69	268
2.499	35.93	230
2.584	34.71	210
1.724	53.13	204
1.606	57.39	168
2.412	37.27	155
3.047	29.31	137
2.807	31.88	132

(6)
Structure and calculated X-ray powder pattern of Sm4C2F (DFT lattice parameters and positions (PBE); a wavelength of 1.5418 Å).
Peak positions follow from Bragg's law for the DFT cell and can differ from measured ones.

Structural model:
Unit cell a=12.777 b=12.777 c=12.777 alpha=16.45 beta=16.45 gamma=16.45
Atoms (fractional coordinates):
Sm 0.118 0.118 0.118
Sm 0.289 0.289 0.289
Sm 0.711 0.711 0.711
Sm 0.882 0.882 0.882
C 0.413 0.413 0.413
C 0.587 0.587 0.587
F 0.000 0.000 0.000

The 10 most intense peaks (10° ≤ 2θ ≤ 90°), in order of falling intensity:
d/Å	2θ/deg	intensity
2.920	30.61	1000
2.731	32.79	762
3.151	28.32	542
1.828	49.89	427
2.427	37.04	372
1.581	58.37	368
1.820	50.13	354
3.122	28.59	211
1.549	59.68	156
2.142	42.20	141

(7)
Structure and calculated X-ray powder pattern of Sm2C2F (DFT lattice parameters and positions (PBE); a wavelength of 1.5418 Å).
Peak positions follow from Bragg's law for the DFT cell and can differ from measured ones.

Structural model:
Unit cell a=6.947 b=6.947 c=6.513 alpha=107.99 beta=107.99 gamma=36.24
Atoms (fractional coordinates):
Sm 0.034 0.681 0.890
Sm 0.319 0.966 0.610
Sm 0.681 0.034 0.390
Sm 0.966 0.319 0.110
C 0.155 0.403 0.486
C 0.403 0.155 0.986
C 0.597 0.845 0.014
C 0.845 0.597 0.514
F 0.046 0.954 0.250
F 0.954 0.046 0.750

The 10 most intense peaks (10° ≤ 2θ ≤ 90°), in order of falling intensity:
d/Å	2θ/deg	intensity
3.248	27.46	1000
2.985	29.94	910
2.463	36.48	452
3.206	27.83	434
3.122	28.59	401
1.917	47.41	356
1.881	48.39	296
4.084	21.76	295
2.064	43.87	235
2.003	45.28	230

(8)
Structure and calculated X-ray powder pattern of Ta2C2F (DFT lattice parameters and positions (PBE); a wavelength of 1.5418 Å).
Peak positions follow from Bragg's law for the DFT cell and can differ from measured ones.

Structural model:
Unit cell a=5.325 b=5.325 c=5.325 alpha=134.83 beta=134.83 gamma=65.79
Atoms (fractional coordinates):
Ta 0.250 0.750 0.500
Ta 0.750 0.250 0.500
C 0.184 0.184 0.000
C 0.816 0.816 0.000
F 0.500 0.500 0.000

The 10 most intense peaks (10° ≤ 2θ ≤ 90°), in order of falling intensity:
d/Å	2θ/deg	intensity
4.471	19.86	1000
2.428	37.02	884
2.892	30.92	534
1.860	48.98	377
2.045	44.30	318
1.769	51.68	305
1.509	61.45	215
1.242	76.71	215
2.236	40.34	186
1.325	71.17	149

Please write out number 7 again, unchanged.
Structure and calculated X-ray powder pattern of Sm2C2F (DFT lattice parameters and positions (PBE); a wavelength of 1.5418 Å).
Peak positions follow from Bragg's law for the DFT cell and can differ from measured ones.

Structural model:
Unit cell a=6.947 b=6.947 c=6.513 alpha=107.99 beta=107.99 gamma=36.24
Atoms (fractional coordinates):
Sm 0.034 0.681 0.890
Sm 0.319 0.966 0.610
Sm 0.681 0.034 0.390
Sm 0.966 0.319 0.110
C 0.155 0.403 0.486
C 0.403 0.155 0.986
C 0.597 0.845 0.014
C 0.845 0.597 0.514
F 0.046 0.954 0.250
F 0.954 0.046 0.750

The 10 most intense peaks (10° ≤ 2θ ≤ 90°), in order of falling intensity:
d/Å	2θ/deg	intensity
3.248	27.46	1000
2.985	29.94	910
2.463	36.48	452
3.206	27.83	434
3.122	28.59	401
1.917	47.41	356
1.881	48.39	296
4.084	21.76	295
2.064	43.87	235
2.003	45.28	230

What did the fifth record say?
Structure and calculated X-ray powder pattern of Sc3CSF (DFT lattice parameters and positions (PBE); a wavelength of 1.5418 Å).
Peak positions follow from Bragg's law for the DFT cell and can differ from measured ones.

Structural model:
Unit cell a=7.081 b=3.447 c=7.883 alpha=90.00 beta=97.88 gamma=90.00
Atoms (fractional coordinates):
Sc 0.080 0.250 0.358
Sc 0.202 0.250 0.935
Sc 0.364 0.750 0.644
Sc 0.636 0.250 0.356
Sc 0.798 0.750 0.065
Sc 0.920 0.750 0.642
C 0.148 0.250 0.654
C 0.852 0.750 0.346
S 0.349 0.750 0.310
S 0.651 0.250 0.690
F 0.374 0.750 0.925
F 0.626 0.250 0.075

The 10 most intense peaks (10° ≤ 2θ ≤ 90°), in order of falling intensity:
d/Å	2θ/deg	intensity
2.459	36.55	1000
2.603	34.46	404
1.707	53.69	268
2.499	35.93	230
2.584	34.71	210
1.724	53.13	204
1.606	57.39	168
2.412	37.27	155
3.047	29.31	137
2.807	31.88	132